This entry pairs a crystal structure of Ba8V7O22 with its computed powder diffraction line list. Radiation: CuKα. Structure: a cell relaxed with PBE+U.

Top 10 peaks for 15° ≤ 2θ ≤ 90°, in order of rising 2θ:
hkl  2theta  d_spacing  I_rel
0 1 14  27.63  3.228  85
1 1 0  30.37  2.944  100
0 2 10  38.54  2.336  12
2 0 14  41.50  2.176  52
1 0 28  47.08  1.930  18
1 2 14  52.30  1.749  27
3 0 0  53.95  1.699  19
2 2 0  63.18  1.472  19
2 1 28  66.01  1.415  14
3 1 14  70.29  1.339  12

Lattice parameters (Å, degrees): 5.8871 5.8871 58.3916 90.00 90.00 120.00
Space group R-3m (No. 166, hexagonal axes)
Asymmetric unit:
Ba  0.0000  0.0000  0.1059 (multiplicity 6)
Ba  0.0000  0.0000  0.1809 (multiplicity 6)
Ba  0.0000  0.0000  0.3192 (multiplicity 6)
Ba  0.0000  0.0000  0.3879 (multiplicity 6)
V  0.0000  0.0000  0.0000 (multiplicity 3)
V  0.0000  0.0000  0.0451 (multiplicity 6)
V  0.0000  0.0000  0.2558 (multiplicity 6)
V  0.0000  0.0000  0.4655 (multiplicity 6)
O  0.0000  0.0000  0.2261 (multiplicity 6)
O  0.0000  0.0000  0.4361 (multiplicity 6)
O  0.0076  0.5038  0.4000 (multiplicity 18)
O  0.0095  0.5047  0.1910 (multiplicity 18)
O  0.0286  0.5143  0.6884 (multiplicity 18)